The following is a computed powder diffractogram of KMnPdF6. It was derived from a DFT-relaxed cell (GGA+U, Alexandria), using Cu Ka.

Main lines, by angle (2θ = 10–90°):
- hkl 1 0 0, 2θ 16.22, rel. 100
- hkl 1 0 -1, 2θ 23.00, rel. 67
- hkl 1 1 0, 2θ 24.46, rel. 45
- hkl 1 -1 1, 2θ 25.22, rel. 45
- hkl 0 1 1, 2θ 28.83, rel. 30
- hkl -1 1 1, 2θ 32.16, rel. 31
- hkl 0 2 -1, 2θ 32.42, rel. 26
- hkl 1 2 -1, 2θ 36.94, rel. 31
- hkl -2 1 1, 2θ 42.47, rel. 31
- hkl 2 -1 2, 2θ 47.57, rel. 40

Cell and atoms:
```
KMnPdF6
1.0
5.4803 0.0000 0.0000
-0.2281 5.5611 0.0000
-0.2260 -2.1266 5.1549
K Mn Pd F
1 1 1 6
direct
0.0000 0.0000 0.0000
0.5004 0.3496 0.6512
0.4998 0.6821 0.3177
0.2762 0.1076 0.6746
0.3079 0.3742 0.3576
0.3281 0.6521 0.9829
0.6721 0.0174 0.3472
0.6913 0.6445 0.6257
0.7268 0.3277 0.8913
```